The following is a computed XRD peak list of LiGaPb. It was derived from DFT lattice parameters and positions (GGA-PBE), using Cu Kα, 1.54184 Å.
Intensities are scaled so that the largest is 100.

Principal peaks in the range 15 to 90 degrees two-theta, by angle:
- 2θ 20.08, I = 52
- 2θ 22.91, I = 67
- 2θ 25.87, I = 58
- 2θ 27.37, I = 50
- 2θ 28.39, I = 30
- 2θ 34.83, I = 100
- 2θ 34.97, I = 61
- 2θ 36.97, I = 36
- 2θ 38.02, I = 85
- 2θ 44.01, I = 29

```
6
Lattice="4.937 0.000 0.000 0.000 3.444 0.000 -1.114 0.000 7.697" Properties=species:S:1:pos:R:3 pbc="T T T"
Li 0.706 0.000 2.244
Li 3.118 0.000 5.453
Ga 0.000 1.722 0.000
Ga 2.469 0.000 0.000
Pb 0.660 1.722 5.051
Pb 3.164 1.722 2.646
```

=====

The following is a computed XRD peak list of Li5Ga4Pb. It was derived from DFT lattice parameters and positions (GGA-PBE), using Cu Kα, 1.54184 Å.
Intensities are scaled so that the largest is 100.

Principal peaks in the range 15 to 90 degrees two-theta, by angle:
- 2θ 17.00, I = 16
- 2θ 27.07, I = 100
- 2θ 28.52, I = 37
- 2θ 35.63, I = 22
- 2θ 38.66, I = 48
- 2θ 39.73, I = 75
- 2θ 48.73, I = 34
- 2θ 55.82, I = 16
- 2θ 63.11, I = 18
- 2θ 70.68, I = 27

```
10
Lattice="3.294 0.000 0.000 0.000 3.294 0.000 0.000 0.000 15.650" Properties=species:S:1:pos:R:3 pbc="T T T"
Li 0.000 0.000 0.000
Li 0.000 0.000 2.911
Li 0.000 0.000 5.872
Li 0.000 0.000 9.778
Li 0.000 0.000 12.739
Ga 1.647 1.647 1.461
Ga 1.647 1.647 4.328
Ga 1.647 1.647 11.322
Ga 1.647 1.647 14.189
Pb 1.647 1.647 7.825
```

=====

The following is a computed XRD peak list of Li6GaPb. It was derived from DFT lattice parameters and positions (GGA-PBE), using Cu Kα, 1.54184 Å.
Intensities are scaled so that the largest is 100.

Principal peaks in the range 15 to 90 degrees two-theta, by angle:
- 2θ 17.30, I = 66
- 2θ 25.54, I = 100
- 2θ 30.19, I = 41
- 2θ 35.72, I = 13
- 2θ 37.82, I = 10
- 2θ 39.95, I = 41
- 2θ 41.86, I = 15
- 2θ 49.13, I = 22
- 2θ 50.85, I = 22
- 2θ 50.95, I = 11

```
16
Lattice="4.758 0.000 0.000 0.000 5.931 0.000 0.000 0.000 10.235" Properties=species:S:1:pos:R:3 pbc="T T T"
Li 0.000 0.000 0.000
Li 0.000 1.412 2.446
Li 0.000 1.554 7.564
Li 0.000 2.966 5.117
Li 0.000 4.378 7.564
Li 0.000 4.519 2.446
Li 2.379 0.000 6.712
Li 2.379 1.437 4.222
Li 2.379 1.528 9.340
Li 2.379 2.966 1.594
Li 2.379 4.403 9.340
Li 2.379 4.494 4.222
Ga 2.379 0.000 1.632
Ga 2.379 2.966 6.749
Pb 0.000 0.000 5.050
Pb 0.000 2.966 10.167
```

=====

The following is a computed XRD peak list of LiGaPb2S4. It was derived from DFT lattice parameters and positions (GGA-PBE), using Cu Kα, 1.54184 Å.
Intensities are scaled so that the largest is 100.

Principal peaks in the range 15 to 90 degrees two-theta, by angle:
- 2θ 16.70, I = 41
- 2θ 17.02, I = 60
- 2θ 25.71, I = 67
- 2θ 27.82, I = 23
- 2θ 29.08, I = 100
- 2θ 29.80, I = 30
- 2θ 31.62, I = 23
- 2θ 35.26, I = 30
- 2θ 45.81, I = 25
- 2θ 46.85, I = 23

```
8
Lattice="6.215 0.000 0.000 -0.975 6.147 0.000 -2.520 -2.969 5.091" Properties=species:S:1:pos:R:3 pbc="T T T"
Li 0.000 0.000 0.000
Ga 3.250 -0.023 2.543
Pb -0.709 3.363 2.546
Pb -0.138 0.300 5.090
S -0.744 0.540 2.263
S 2.365 0.477 0.435
S 2.088 3.840 2.825
S 2.607 0.769 4.649
```

=====

The following is a computed XRD peak list of LiGa8Pd2. It was derived from DFT lattice parameters and positions (GGA-PBE), using Cu Kα, 1.54184 Å.
Intensities are scaled so that the largest is 100.

Principal peaks in the range 15 to 90 degrees two-theta, by angle:
- 2θ 17.12, I = 42
- 2θ 27.98, I = 93
- 2θ 34.32, I = 100
- 2θ 37.82, I = 49
- 2θ 41.29, I = 56
- 2θ 41.40, I = 55
- 2θ 41.96, I = 51
- 2θ 42.52, I = 64
- 2θ 48.12, I = 39
- 2θ 48.79, I = 42

```
11
Lattice="4.062 -5.178 0.000 4.062 5.178 0.000 -0.407 0.000 4.824" Properties=species:S:1:pos:R:3 pbc="T T T"
Li 0.000 0.000 0.000
Ga 1.496 1.322 3.288
Ga 4.062 2.428 0.000
Ga 1.496 -1.322 3.288
Ga 2.825 0.000 1.036
Ga 4.892 0.000 3.789
Ga 6.221 1.322 1.536
Ga 4.062 -2.428 0.000
Ga 6.221 -1.322 1.536
Pd 3.858 2.037 2.412
Pd 3.858 -2.037 2.412
```

=====

The following is a computed XRD peak list of LiGa3Pd3. It was derived from DFT lattice parameters and positions (GGA-PBE), using Cu Kα, 1.54184 Å.
Intensities are scaled so that the largest is 100.

Principal peaks in the range 15 to 90 degrees two-theta, by angle:
- 2θ 25.46, I = 46
- 2θ 26.24, I = 38
- 2θ 35.88, I = 74
- 2θ 41.30, I = 100
- 2θ 41.95, I = 45
- 2θ 42.44, I = 60
- 2θ 43.18, I = 37
- 2θ 49.16, I = 22
- 2θ 49.24, I = 43
- 2θ 66.63, I = 25

```
28
Lattice="10.836 0.000 0.000 0.000 3.701 0.000 0.000 0.000 10.732" Properties=species:S:1:pos:R:3 pbc="T T T"
Li 0.771 0.925 2.051
Li 4.646 2.776 7.417
Li 6.189 0.925 3.315
Li 10.064 2.776 8.680
Ga 0.687 0.925 9.951
Ga 1.000 0.925 4.722
Ga 2.096 2.776 7.224
Ga 3.321 0.925 1.858
Ga 4.418 2.776 10.087
Ga 4.731 2.776 4.585
Ga 6.104 0.925 6.146
Ga 6.418 0.925 0.644
Ga 7.514 2.776 8.874
Ga 8.739 0.925 3.508
Ga 9.835 2.776 6.010
Ga 10.149 2.776 0.780
Pd 0.400 0.925 7.271
Pd 2.063 2.776 0.499
Pd 2.467 2.776 3.480
Pd 2.951 0.925 8.846
Pd 3.355 0.925 5.865
Pd 5.018 2.776 1.905
Pd 5.818 0.925 8.826
Pd 7.480 2.776 4.866
Pd 7.884 2.776 1.885
Pd 8.369 0.925 7.251
Pd 8.773 0.925 10.232
Pd 10.436 2.776 3.460
```